For Sr3Pr2Zn2Pt4, a PBE-relaxed structure gives the theoretical PXRD pattern in this record (CuKα).

Main lines, by intensity (2θ from 15° to 90°):
d (Å), I_rel, (hkl)
2.902, 100, 0 1 4
2.210, 72, 1 1 0
4.450, 32, 0 0 4
1.979, 30, 0 0 9
1.758, 30, 2 0 4
3.517, 26, 0 1 2
1.376, 24, 1 2 4
2.607, 22, 1 0 5
3.217, 20, 1 0 3
1.474, 18, 1 1 9

Cell and atoms:
```
data_Sr3Pr2Zn2Pt4
_chemical_formula_sum 'Sr3 Pr2 Zn2 Pt4'
_cell_length_a 4.4209
_cell_length_b 4.4209
_cell_length_c 17.7995
_cell_angle_alpha 90.00
_cell_angle_beta 90.00
_cell_angle_gamma 120.00
_symmetry_space_group_name_H-M 'P -3 m 1'
_symmetry_Int_Tables_number 164
_symmetry_space_group_name_Hall '-P 3 2"'
loop_
_atom_site_label
_atom_site_type_symbol
_atom_site_fract_x
_atom_site_fract_y
_atom_site_fract_z
_atom_site_occupancy
Sr1 Sr 0.0000 0.0000 0.0000 1
Sr2 Sr 0.0000 0.0000 0.2396 1
Pr1 Pr 0.3333 0.6667 0.5796 1
Zn1 Zn 0.3333 0.6667 0.1207 1
Pt1 Pt 0.3333 0.6667 0.3476 1
Pt2 Pt 0.3333 0.6667 0.8811 1
```

---

For ErTmO4, a PBE-relaxed structure gives the theoretical PXRD pattern in this record (CuKα).

Main lines, by intensity (2θ from 15° to 90°):
d (Å), I_rel, (hkl)
2.906, 100, 1 1 -1
3.046, 47, 0 0 2
2.790, 37, 1 1 1
2.833, 34, 2 0 1
1.918, 33, 3 1 0
3.378, 31, 2 0 0
1.757, 27, 1 1 -3
2.160, 21, 1 1 2
3.219, 21, 1 1 0
3.092, 19, 2 0 -1

Cell and atoms:
```
data_ErTmO4
_chemical_formula_sum 'Er2 Tm2 O8'
_cell_length_a 6.791
_cell_length_b 3.662
_cell_length_c 6.124
_cell_angle_alpha 90.00
_cell_angle_beta 95.91
_cell_angle_gamma 90.00
_symmetry_space_group_name_H-M 'C 1 m 1'
_symmetry_Int_Tables_number 8
_symmetry_space_group_name_Hall 'C -2y'
loop_
_atom_site_label
_atom_site_type_symbol
_atom_site_fract_x
_atom_site_fract_y
_atom_site_fract_z
_atom_site_occupancy
Er1 Er 0.000 0.000 0.000 1
Tm1 Tm 0.363 0.000 0.456 1
O1 O 0.035 0.000 0.375 1
O2 O 0.086 0.500 0.778 1
O3 O 0.276 0.500 0.675 1
O4 O 0.328 0.000 0.084 1
```

---

For Ga, a PBE-relaxed structure gives the theoretical PXRD pattern in this record (CuKα).

Main lines, by intensity (2θ from 15° to 90°):
d (Å), I_rel, (hkl)
2.462, 100, 1 1 0
2.672, 63, 0 0 1
2.003, 54, 1 1 -1
2.303, 41, 2 0 0
2.145, 33, 2 0 -1
1.665, 29, 1 1 1
1.393, 16, 3 1 -1
1.358, 14, 3 1 0
1.279, 12, 0 2 1
1.276, 12, 1 1 -2

Cell and atoms:
```
data_Ga
_chemical_formula_sum 'Ga2'
_cell_length_a 4.902
_cell_length_b 2.914
_cell_length_c 2.844
_cell_angle_alpha 90.00
_cell_angle_beta 110.04
_cell_angle_gamma 90.00
_symmetry_space_group_name_H-M 'C 1 2/m 1'
_symmetry_Int_Tables_number 12
_symmetry_space_group_name_Hall '-C 2y'
loop_
_atom_site_label
_atom_site_type_symbol
_atom_site_fract_x
_atom_site_fract_y
_atom_site_fract_z
_atom_site_occupancy
Ga1 Ga 0.000 0.000 0.000 1
```

---

For Tl2AgICl2, a PBE-relaxed structure gives the theoretical PXRD pattern in this record (CuKα).

Main lines, by intensity (2θ from 15° to 90°):
d (Å), I_rel, (hkl)
3.631, 100, 3 1 1
4.042, 77, 3 1 0
3.921, 73, 0 2 1
2.484, 56, 3 3 0
2.280, 51, 3 1 3
4.142, 46, 0 0 2
2.346, 39, 0 2 3
2.130, 30, 3 3 2
1.963, 29, 6 2 1
1.631, 24, 6 2 3

Cell and atoms:
```
data_Tl2AgICl2
_chemical_formula_sum 'Tl8 Ag4 I4 Cl8'
_cell_length_a 13.611
_cell_length_b 8.903
_cell_length_c 8.283
_cell_angle_alpha 90.00
_cell_angle_beta 90.00
_cell_angle_gamma 90.00
_symmetry_space_group_name_H-M 'C m c 21'
_symmetry_Int_Tables_number 36
_symmetry_space_group_name_Hall 'C 2c -2'
loop_
_atom_site_label
_atom_site_type_symbol
_atom_site_fract_x
_atom_site_fract_y
_atom_site_fract_z
_atom_site_occupancy
Tl1 Tl 0.170 0.150 0.000 1
Ag1 Ag 0.000 0.345 0.543 1
I1 I 0.000 0.374 0.201 1
Cl1 Cl 0.153 0.180 0.627 1
```

---

For Ce2Ge3BiPd4, a PBE-relaxed structure gives the theoretical PXRD pattern in this record (CuKα).

Main lines, by intensity (2θ from 15° to 90°):
d (Å), I_rel, (hkl)
2.676, 100, 1 1 2
2.168, 50, 2 0 0
2.794, 30, 1 0 3
1.330, 25, 3 1 2
2.043, 20, 1 1 4
1.956, 17, 1 0 5
1.533, 17, 2 2 0
1.713, 14, 2 1 3
1.452, 13, 2 1 5
2.316, 10, 1 0 4

Cell and atoms:
```
data_Ce2Ge3BiPd4
_chemical_formula_sum 'Ce2 Ge3 Bi1 Pd4'
_cell_length_a 4.337
_cell_length_b 4.337
_cell_length_c 10.956
_cell_angle_alpha 90.00
_cell_angle_beta 90.00
_cell_angle_gamma 90.00
_symmetry_space_group_name_H-M 'P -4 m 2'
_symmetry_Int_Tables_number 115
_symmetry_space_group_name_Hall 'P -4 -2'
loop_
_atom_site_label
_atom_site_type_symbol
_atom_site_fract_x
_atom_site_fract_y
_atom_site_fract_z
_atom_site_occupancy
Ce1 Ce 0.000 0.500 0.229 1
Ge1 Ge 0.000 0.500 0.878 1
Ge2 Ge 0.500 0.500 0.500 1
Bi1 Bi 0.000 0.000 0.500 1
Pd1 Pd 0.000 0.000 0.000 1
Pd2 Pd 0.000 0.500 0.655 1
Pd3 Pd 0.500 0.500 0.000 1
```

---

For Tb5PrY2Er, a PBE-relaxed structure gives the theoretical PXRD pattern in this record (CuKα).

Main lines, by intensity (2θ from 15° to 90°):
d (Å), I_rel, (hkl)
2.771, 100, 1 5 2
2.960, 41, 1 1 3
2.825, 41, 2 0 0
3.163, 22, 0 6 1
1.621, 20, 3 5 2
2.107, 14, 2 6 1
1.547, 14, 1 11 3
1.509, 13, 2 6 5
2.647, 13, 0 0 4
1.784, 11, 0 6 5

Cell and atoms:
```
data_Tb5PrY2Er
_chemical_formula_sum 'Tb20 Pr4 Y8 Er4'
_cell_length_a 5.650
_cell_length_b 19.885
_cell_length_c 10.587
_cell_angle_alpha 90.00
_cell_angle_beta 90.00
_cell_angle_gamma 90.00
_symmetry_space_group_name_H-M 'C m c 21'
_symmetry_Int_Tables_number 36
_symmetry_space_group_name_Hall 'C 2c -2'
loop_
_atom_site_label
_atom_site_type_symbol
_atom_site_fract_x
_atom_site_fract_y
_atom_site_fract_z
_atom_site_occupancy
Tb1 Tb 0.000 0.019 0.000 1
Tb2 Tb 0.000 0.282 0.289 1
Tb3 Tb 0.000 0.298 0.684 1
Tb4 Tb 0.000 0.387 0.998 1
Tb5 Tb 0.000 0.479 0.714 1
Pr1 Pr 0.000 0.416 0.430 1
Y1 Y 0.000 0.112 0.709 1
Y2 Y 0.000 0.114 0.296 1
Er1 Er 0.000 0.201 0.988 1
```